Entry 1:
For Tm2Ga8Fe, a DFT-relaxed cell (PBE, the Materials Project) gives the calculated XRD peak list in this record (Cu Ka).
No peak broadening, texture or thermal motion is included.

Most intense lines, 10 to 80 degrees two-theta, in order of rising 2θ:
2θ (°)  I (rel.)
34.1  56
38.7  100
40.4  24
42.9  58
60.4  29
75.8  27

Structure:
```
Tm2Ga8Fe
1.0
4.213 0.000 0.000
0.000 4.213 0.000
0.000 0.000 11.163
Tm Ga Fe
2 8 1
Direct
0.000 0.000 0.194 Tm
0.000 0.000 0.806 Tm
0.000 0.500 0.000 Ga
0.000 0.500 0.385 Ga
0.000 0.500 0.615 Ga
0.500 0.000 0.000 Ga
0.500 0.000 0.385 Ga
0.500 0.000 0.615 Ga
0.500 0.500 0.199 Ga
0.500 0.500 0.801 Ga
0.000 0.000 0.500 Fe
```

---

Entry 2:
For Tm2Ga2Fe15, a DFT-relaxed cell (PBE, the Materials Project) gives the calculated XRD peak list in this record (Cu Ka).
No peak broadening, texture or thermal motion is included.

Most intense lines, 10 to 80 degrees two-theta, in order of rising 2θ:
2θ (°)  I (rel.)
30.2  20
37.1  26
40.8  15
43.2  100
62.7  15
79.2  12

Structure:
```
Tm2Ga2Fe15
1.0
8.385 0.000 0.000
-4.193 7.262 0.000
0.000 0.000 8.372
Tm Ga Fe
4 4 30
Direct
0.000 0.000 0.250 Tm
0.000 0.000 0.750 Tm
0.333 0.667 0.250 Tm
0.667 0.333 0.750 Tm
0.333 0.667 0.601 Ga
0.333 0.667 0.899 Ga
0.667 0.333 0.101 Ga
0.667 0.333 0.399 Ga
0.000 0.500 0.000 Fe
0.000 0.500 0.500 Fe
0.027 0.358 0.750 Fe
0.027 0.669 0.750 Fe
0.165 0.330 0.012 Fe
0.165 0.330 0.488 Fe
0.165 0.835 0.012 Fe
0.165 0.835 0.488 Fe
0.330 0.165 0.512 Fe
0.330 0.165 0.988 Fe
0.331 0.358 0.750 Fe
0.331 0.973 0.750 Fe
0.358 0.027 0.250 Fe
0.358 0.331 0.250 Fe
0.500 0.000 0.000 Fe
0.500 0.000 0.500 Fe
0.500 0.500 0.000 Fe
0.500 0.500 0.500 Fe
0.642 0.669 0.750 Fe
0.642 0.973 0.750 Fe
0.669 0.027 0.250 Fe
0.669 0.642 0.250 Fe
0.670 0.835 0.012 Fe
0.670 0.835 0.488 Fe
0.835 0.165 0.512 Fe
0.835 0.165 0.988 Fe
0.835 0.670 0.512 Fe
0.835 0.670 0.988 Fe
0.973 0.331 0.250 Fe
0.973 0.642 0.250 Fe
```

---

Entry 3:
For Tm2Ga3Fe14, a DFT-relaxed cell (PBE, the Materials Project) gives the calculated XRD peak list in this record (Cu Ka).
No peak broadening, texture or thermal motion is included.

Most intense lines, 10 to 80 degrees two-theta, in order of rising 2θ:
2θ (°)  I (rel.)
30.2  41
36.6  40
40.9  22
42.5  55
42.8  100
43.9  28

Structure:
```
Tm2Ga3Fe14
1.0
8.514 0.000 0.000
-4.257 7.373 0.000
0.000 0.000 8.253
Tm Ga Fe
4 6 28
Direct
0.000 0.000 0.250 Tm
0.000 0.000 0.750 Tm
0.333 0.667 0.250 Tm
0.667 0.333 0.750 Tm
0.000 0.500 0.000 Ga
0.000 0.500 0.500 Ga
0.500 0.000 0.000 Ga
0.500 0.000 0.500 Ga
0.500 0.500 0.000 Ga
0.500 0.500 0.500 Ga
0.026 0.348 0.750 Fe
0.026 0.679 0.750 Fe
0.165 0.330 0.013 Fe
0.165 0.330 0.487 Fe
0.165 0.835 0.013 Fe
0.165 0.835 0.487 Fe
0.321 0.348 0.750 Fe
0.321 0.974 0.750 Fe
0.330 0.165 0.513 Fe
0.330 0.165 0.987 Fe
0.333 0.667 0.611 Fe
0.333 0.667 0.889 Fe
0.348 0.026 0.250 Fe
0.348 0.321 0.250 Fe
0.652 0.679 0.750 Fe
0.652 0.974 0.750 Fe
0.667 0.333 0.111 Fe
0.667 0.333 0.389 Fe
0.670 0.835 0.013 Fe
0.670 0.835 0.487 Fe
0.679 0.026 0.250 Fe
0.679 0.652 0.250 Fe
0.835 0.165 0.513 Fe
0.835 0.165 0.987 Fe
0.835 0.670 0.513 Fe
0.835 0.670 0.987 Fe
0.974 0.321 0.250 Fe
0.974 0.652 0.250 Fe
```

---

Entry 4:
For UGa6Fe6, a DFT-relaxed cell (PBE, the Materials Project) gives the calculated XRD peak list in this record (Cu Ka).
No peak broadening, texture or thermal motion is included.

Most intense lines, 10 to 80 degrees two-theta, in order of rising 2θ:
2θ (°)  I (rel.)
35.7  69
41.5  34
41.8  100
42.2  45
42.8  28
77.8  29

Structure:
```
UGa6Fe6
1.0
-2.508 4.225 4.358
2.508 -4.225 4.358
2.508 4.225 -4.358
U Ga Fe
1 6 6
Direct
0.000 0.000 0.000 U
0.194 0.694 0.500 Ga
0.343 0.000 0.343 Ga
0.348 0.348 0.000 Ga
0.652 0.652 0.000 Ga
0.657 0.000 0.657 Ga
0.806 0.306 0.500 Ga
0.000 0.000 0.500 Fe
0.000 0.500 0.000 Fe
0.234 0.500 0.734 Fe
0.500 0.000 0.000 Fe
0.500 0.500 0.500 Fe
0.766 0.500 0.266 Fe
```

---

Entry 5:
For UGaFe, a DFT-relaxed cell (PBE, the Materials Project) gives the calculated XRD peak list in this record (Cu Ka).
No peak broadening, texture or thermal motion is included.

Most intense lines, 10 to 80 degrees two-theta, in order of rising 2θ:
2θ (°)  I (rel.)
31.5  31
35.5  100
39.0  95
42.1  43
45.7  26
63.5  41

Structure:
```
UGaFe
1.0
6.563 0.000 0.000
-3.281 5.683 0.000
0.000 0.000 3.969
U Ga Fe
3 3 3
Direct
0.000 0.422 0.000 U
0.422 0.000 0.000 U
0.578 0.578 0.000 U
0.000 0.762 0.500 Ga
0.238 0.238 0.500 Ga
0.762 0.000 0.500 Ga
0.000 0.000 0.000 Fe
0.333 0.667 0.500 Fe
0.667 0.333 0.500 Fe
```

---

Entry 6:
For V2GaFe, a DFT-relaxed cell (PBE, the Materials Project) gives the calculated XRD peak list in this record (Cu Ka).
No peak broadening, texture or thermal motion is included.

Most intense lines, 10 to 80 degrees two-theta, in order of rising 2θ:
2θ (°)  I (rel.)
42.5  100
43.6  23
45.0  21
58.7  9
64.5  13
79.3  14

Structure:
```
V2GaFe
1.0
1.573 -2.076 0.000
1.573 2.076 0.000
0.000 0.000 8.056
V Ga Fe
2 1 1
Direct
0.000 0.000 0.000 V
0.500 0.500 0.253 V
0.000 0.000 0.518 Ga
0.500 0.500 0.762 Fe
```

---

Entry 7:
For Y4Ga12Fe, a DFT-relaxed cell (PBE, the Materials Project) gives the calculated XRD peak list in this record (Cu Ka).
No peak broadening, texture or thermal motion is included.

Most intense lines, 10 to 80 degrees two-theta, in order of rising 2θ:
2θ (°)  I (rel.)
36.2  100
39.2  6
42.1  59
61.0  35
73.1  31
76.9  11

Structure:
```
Y4Ga12Fe
1.0
-4.295 4.295 4.295
4.295 -4.295 4.295
4.295 4.295 -4.295
Y Ga Fe
4 12 1
Direct
0.000 0.000 0.500 Y
0.000 0.500 0.000 Y
0.500 0.000 0.000 Y
0.500 0.500 0.500 Y
0.000 0.283 0.283 Ga
0.000 0.717 0.717 Ga
0.250 0.500 0.750 Ga
0.250 0.750 0.500 Ga
0.283 0.000 0.283 Ga
0.283 0.283 0.000 Ga
0.500 0.250 0.750 Ga
0.500 0.750 0.250 Ga
0.717 0.000 0.717 Ga
0.717 0.717 0.000 Ga
0.750 0.250 0.500 Ga
0.750 0.500 0.250 Ga
0.000 0.000 0.000 Fe
```

---

Entry 8:
For Zr2GaFe3, a DFT-relaxed cell (PBE, the Materials Project) gives the calculated XRD peak list in this record (Cu Ka).
No peak broadening, texture or thermal motion is included.

Most intense lines, 10 to 80 degrees two-theta, in order of rising 2θ:
2θ (°)  I (rel.)
35.7  49
38.9  82
42.1  100
42.9  66
66.2  28
68.5  26

Structure:
```
Zr2GaFe3
1.0
5.032 0.000 0.000
-2.516 4.358 0.000
0.000 0.000 8.211
Zr Ga Fe
4 2 6
Direct
0.333 0.667 0.066 Zr
0.333 0.667 0.434 Zr
0.667 0.333 0.566 Zr
0.667 0.333 0.934 Zr
0.000 0.000 0.000 Ga
0.000 0.000 0.500 Ga
0.172 0.345 0.750 Fe
0.172 0.828 0.750 Fe
0.345 0.172 0.250 Fe
0.655 0.828 0.750 Fe
0.828 0.172 0.250 Fe
0.828 0.655 0.250 Fe
```